TlGaTe3: simulated powder diffraction line list (Cu Ka), based on DFT lattice parameters and positions (GGA-PBE).
Intensities are scaled so that the largest is 100.

Most intense lines, 2θ = 15–90°, by intensity:
two_theta  d [Å]  I/Imax
26.19  3.402  100
30.32  2.948  71
23.21  3.832  51
32.76  2.734  43
28.73  3.108  35
37.35  2.408  35
22.72  3.914  33
27.85  3.203  30

Cell and atoms:
Unit cell a=4.356 b=6.250 c=7.325 alpha=69.70 beta=80.77 gamma=87.26
Fractional positions:
Tl 0.000 0.000 0.000
Ga 0.675 0.378 0.359
Te 0.224 0.448 0.120
Te 0.383 0.740 0.415
Te 0.601 0.974 0.640